YEr3Hg2: computed XRD peak list (Cu Kα (weighted mean of Kα1 and Kα2)), based on the GGA-PBE geometry in Alexandria.

Structural model:
a = 5.0680 Å, b = 9.1567 Å, c = 7.0459 Å
α = 90.00°, β = 90.00°, γ = 90.00°
Fractional coordinates of all 12 atoms:
Y: 0.0000 0.0551 0.0000
Y: 0.0000 0.9449 0.5000
Er: 0.0000 0.3265 0.6528
Er: 0.0000 0.6735 0.1528
Er: 0.5000 0.1770 0.3156
Er: 0.5000 0.4437 0.9677
Er: 0.5000 0.5563 0.4677
Er: 0.5000 0.8230 0.8156
Hg: 0.0000 0.3513 0.2228
Hg: 0.0000 0.6487 0.7228
Hg: 0.5000 0.1488 0.7449
Hg: 0.5000 0.8512 0.2449

Largest 8 diffraction maxima, in order of rising 2θ, 15 to 90 degrees two-theta:
- 29.2 deg, I = 31.7, hkl 1 2 1
- 30.9 deg, I = 29.5, hkl 1 0 2
- 32.1 deg, I = 28.8, hkl 0 2 2
- 32.5 deg, I = 100.0, hkl 1 1 2
- 34.3 deg, I = 98.9, hkl 1 3 0
- 35.4 deg, I = 64.0, hkl 2 0 0
- 43.1 deg, I = 27.4, hkl 1 3 2
- 48.5 deg, I = 25.3, hkl 2 2 2

=====

NbSCl3: computed XRD peak list (Cu Kα (weighted mean of Kα1 and Kα2)), based on the GGA-PBE geometry in Alexandria.

Structural model:
a = 6.9160 Å, b = 7.1989 Å, c = 12.2011 Å
α = 90.00°, β = 96.76°, γ = 90.00°
Fractional coordinates of all 20 atoms:
Nb: 0.0709 0.1216 0.1470
Nb: 0.0709 0.8784 0.6470
Nb: 0.9291 0.1216 0.3530
Nb: 0.9291 0.8784 0.8530
S: 0.1354 0.3732 0.2924
S: 0.1354 0.6268 0.7924
S: 0.8646 0.3732 0.2076
S: 0.8646 0.6268 0.7076
Cl: 0.1388 0.1728 0.5334
Cl: 0.1388 0.8272 0.0334
Cl: 0.2246 0.0686 0.7988
Cl: 0.2246 0.9314 0.2988
Cl: 0.3453 0.2530 0.0788
Cl: 0.3453 0.7470 0.5788
Cl: 0.6547 0.2530 0.4212
Cl: 0.6547 0.7470 0.9212
Cl: 0.7754 0.0686 0.7012
Cl: 0.7754 0.9314 0.2012
Cl: 0.8612 0.1728 0.9666
Cl: 0.8612 0.8272 0.4666

Largest 8 diffraction maxima, in order of rising 2θ, 15 to 90 degrees two-theta:
- 17.8 deg, I = 100.0, hkl 1 1 0
- 19.9 deg, I = 84.2, hkl 1 1 1
- 20.7 deg, I = 57.3, hkl 1 0 2
- 34.9 deg, I = 81.4, hkl 1 2 -3
- 37.6 deg, I = 48.8, hkl 2 2 1
- 45.1 deg, I = 49.7, hkl 0 2 5
- 45.8 deg, I = 66.5, hkl 1 2 -5
- 48.4 deg, I = 47.7, hkl 1 0 6

=====

Mg2CrSe: computed XRD peak list (Cu Kα (weighted mean of Kα1 and Kα2)), based on the GGA-PBE geometry in Alexandria.

Structural model:
a = 3.1539 Å, b = 3.1539 Å, c = 7.5406 Å
α = 90.00°, β = 90.00°, γ = 90.00°
Fractional coordinates of all 4 atoms:
Mg: 0.0000 0.0000 0.0000
Mg: 0.5000 0.5000 0.3112
Cr: 0.5000 0.5000 0.7460
Se: 0.0000 0.0000 0.6013

Largest 8 diffraction maxima, in order of rising 2θ, 15 to 90 degrees two-theta:
- 23.6 deg, I = 15.4, hkl 0 0 2
- 37.2 deg, I = 100.0, hkl 1 0 2
- 40.4 deg, I = 57.9, hkl 1 1 0
- 42.3 deg, I = 24.9, hkl 1 1 1
- 46.2 deg, I = 33.1, hkl 1 0 3
- 58.5 deg, I = 18.4, hkl 2 0 0
- 69.0 deg, I = 14.8, hkl 1 0 5
- 71.4 deg, I = 26.7, hkl 2 1 2